[1]
Structure and theoretical X-ray powder pattern of AcPr6Dy5 (a structure optimized by DFT (GGA-PBE); Cu Kα, 1.54184 Å).
Kinematic intensities with the Lorentz-polarization factor, no thermal factor.

Cell and atoms:
```
data_AcPr6Dy5
_chemical_formula_sum 'Ac2 Pr12 Dy10'
_space_group_name_H-M_alt 'C m m m'
_space_group_IT_number 65
_space_group_name_Hall '-C 2 2'
_cell_length_a 5.1889
_cell_length_b 15.5985
_cell_length_c 10.3368
_cell_angle_alpha 90.00
_cell_angle_beta 90.00
_cell_angle_gamma 90.00
loop_
_atom_site_label
_atom_site_type_symbol
_atom_site_fract_x
_atom_site_fract_y
_atom_site_fract_z
Ac1 Ac 0.0000 0.0000 0.0000
Pr1 Pr 0.0000 0.1677 0.2541
Pr2 Pr 0.0000 0.5000 0.2575
Dy1 Dy 0.0000 0.0000 0.5000
Dy2 Dy 0.0000 0.3292 0.0000
Dy3 Dy 0.0000 0.3330 0.5000
```

Largest 10 diffraction maxima, in order of rising 2θ, 2θ = 10–90°:
| hkl | 2theta | I/Imax |
| --- | --- | --- |
| 1 3 2 | 29.84 | 100 |
| 2 0 0 | 34.54 | 34 |
| 0 0 4 | 34.71 | 17 |
| 2 6 0 | 49.64 | 12 |
| 2 0 4 | 49.78 | 24 |
| 3 3 2 | 59.01 | 29 |
| 1 3 6 | 59.24 | 14 |
| 2 6 4 | 61.99 | 12 |
| 3 9 2 | 80.65 | 6 |
| 3 3 6 | 80.85 | 12 |

---

[2]
Structure and theoretical X-ray powder pattern of Ac3Pr7Dy2 (a structure optimized by DFT (GGA-PBE); Cu Kα, 1.54184 Å).
Kinematic intensities with the Lorentz-polarization factor, no thermal factor.

Cell and atoms:
```
data_Ac3Pr7Dy2
_chemical_formula_sum 'Ac3 Pr7 Dy2'
_space_group_name_H-M_alt 'P 1 2/m 1'
_space_group_IT_number 10
_space_group_name_Hall '-P 2y'
_cell_length_a 3.8108
_cell_length_b 5.9000
_cell_length_c 21.1569
_cell_angle_alpha 90.00
_cell_angle_beta 95.22
_cell_angle_gamma 90.00
loop_
_atom_site_label
_atom_site_type_symbol
_atom_site_fract_x
_atom_site_fract_y
_atom_site_fract_z
Ac1 Ac 0.0000 0.0000 0.0000
Ac2 Ac 0.3217 0.5000 0.6480
Pr1 Pr 0.0914 0.5000 0.1768
Pr2 Pr 0.2175 0.0000 0.4358
Pr3 Pr 0.4265 0.0000 0.8576
Pr4 Pr 0.5000 0.5000 0.0000
Dy1 Dy 0.1430 0.0000 0.2800
```

Largest 10 diffraction maxima, in order of rising 2θ, 2θ = 10–90°:
| hkl | 2theta | I/Imax |
| --- | --- | --- |
| 1 1 -2 | 28.60 | 21 |
| 0 0 7 | 29.64 | 26 |
| 1 1 2 | 29.86 | 100 |
| 0 2 0 | 30.28 | 87 |
| 1 1 -4 | 31.66 | 48 |
| 0 1 7 | 33.42 | 42 |
| 1 2 -5 | 43.34 | 22 |
| 2 0 -1 | 47.73 | 17 |
| 1 3 2 | 53.55 | 20 |
| 2 2 -1 | 57.59 | 19 |

---

[3]
Structure and theoretical X-ray powder pattern of Ac3Pr6Dy2 (a structure optimized by DFT (GGA-PBE); Cu Kα, 1.54184 Å).
Kinematic intensities with the Lorentz-polarization factor, no thermal factor.

Cell and atoms:
```
data_Ac3Pr6Dy2
_chemical_formula_sum 'Ac9 Pr18 Dy6'
_space_group_name_H-M_alt 'R -3 m'
_space_group_IT_number 166
_space_group_name_Hall '-R 3 2"'
_cell_length_a 3.7707
_cell_length_b 3.7707
_cell_length_c 100.8808
_cell_angle_alpha 90.00
_cell_angle_beta 90.00
_cell_angle_gamma 120.00
loop_
_atom_site_label
_atom_site_type_symbol
_atom_site_fract_x
_atom_site_fract_y
_atom_site_fract_z
Ac1 Ac 0.0000 0.0000 0.0000
Ac2 Ac 0.0000 0.0000 0.2708
Pr1 Pr 0.0000 0.0000 0.0940
Pr2 Pr 0.0000 0.0000 0.1817
Pr3 Pr 0.0000 0.0000 0.3646
Dy1 Dy 0.0000 0.0000 0.4561
```

Largest 10 diffraction maxima, in order of rising 2θ, 2θ = 10–90°:
| hkl | 2theta | I/Imax |
| --- | --- | --- |
| 0 1 11 | 29.03 | 100 |
| 0 0 33 | 29.21 | 29 |
| 1 0 22 | 33.70 | 65 |
| 1 1 0 | 48.27 | 25 |
| 0 1 44 | 48.52 | 20 |
| 2 0 11 | 57.32 | 15 |
| 1 1 33 | 57.43 | 27 |
| 1 0 55 | 57.63 | 12 |
| 0 2 22 | 60.16 | 12 |
| 1 2 11 | 78.14 | 12 |

---

[4]
Structure and theoretical X-ray powder pattern of Ac5PrDy (a structure optimized by DFT (GGA-PBE); Cu Kα, 1.54184 Å).
Kinematic intensities with the Lorentz-polarization factor, no thermal factor.

Cell and atoms:
```
data_Ac5PrDy
_chemical_formula_sum 'Ac20 Pr4 Dy4'
_space_group_name_H-M_alt 'C 1 2/c 1'
_space_group_IT_number 15
_space_group_name_Hall '-C 2yc'
_cell_length_a 6.6956
_cell_length_b 18.6390
_cell_length_c 9.9869
_cell_angle_alpha 90.00
_cell_angle_beta 104.86
_cell_angle_gamma 90.00
loop_
_atom_site_label
_atom_site_type_symbol
_atom_site_fract_x
_atom_site_fract_y
_atom_site_fract_z
Ac1 Ac 0.0000 0.1351 0.2500
Ac2 Ac 0.1142 0.3520 0.9620
Ac3 Ac 0.2046 0.1832 0.6464
Pr1 Pr 0.0000 0.4865 0.2500
Dy1 Dy 0.0000 0.0000 0.0000
```

Largest 10 diffraction maxima, in order of rising 2θ, 2θ = 10–90°:
| hkl | 2theta | I/Imax |
| --- | --- | --- |
| 1 1 -3 | 28.03 | 59 |
| 2 2 -1 | 28.41 | 57 |
| 0 6 0 | 28.74 | 35 |
| 1 3 2 | 29.51 | 100 |
| 0 6 1 | 30.23 | 18 |
| 1 5 -2 | 31.28 | 28 |
| 2 4 -1 | 33.02 | 27 |
| 1 5 -3 | 36.82 | 21 |
| 0 2 5 | 48.13 | 26 |
| 3 3 -4 | 51.20 | 21 |

---

[5]
Structure and theoretical X-ray powder pattern of Ac4Pr11Dy9 (a structure optimized by DFT (GGA-PBE); Cu Kα, 1.54184 Å).
Kinematic intensities with the Lorentz-polarization factor, no thermal factor.

Cell and atoms:
```
data_Ac4Pr11Dy9
_chemical_formula_sum 'Ac8 Pr22 Dy18'
_space_group_name_H-M_alt 'C m m m'
_space_group_IT_number 65
_space_group_name_Hall '-C 2 2'
_cell_length_a 21.2057
_cell_length_b 22.0567
_cell_length_c 3.6754
_cell_angle_alpha 90.00
_cell_angle_beta 90.00
_cell_angle_gamma 90.00
loop_
_atom_site_label
_atom_site_type_symbol
_atom_site_fract_x
_atom_site_fract_y
_atom_site_fract_z
Ac1 Ac 0.1352 0.0861 0.0000
Pr1 Pr 0.0000 0.1620 0.5000
Pr2 Pr 0.0000 0.3314 0.5000
Pr3 Pr 0.0000 0.5000 0.5000
Pr4 Pr 0.2351 0.5000 0.5000
Pr5 Pr 0.2426 0.3306 0.5000
Dy1 Dy 0.0000 0.0000 0.0000
Dy2 Dy 0.1188 0.4141 0.0000
Dy3 Dy 0.1229 0.2496 0.0000
```

Largest 10 diffraction maxima, in order of rising 2θ, 2θ = 10–90°:
| hkl | 2theta | I/Imax |
| --- | --- | --- |
| 4 6 0 | 29.57 | 100 |
| 8 0 0 | 33.82 | 19 |
| 0 6 1 | 34.51 | 32 |
| 8 6 1 | 49.09 | 20 |
| 0 0 2 | 49.60 | 14 |
| 12 6 0 | 57.90 | 12 |
| 4 6 2 | 58.81 | 29 |
| 8 0 2 | 61.38 | 12 |
| 12 6 2 | 79.66 | 9 |
| 4 18 0 | 80.45 | 6 |

---

[6]
Structure and theoretical X-ray powder pattern of AcPr5Dy3 (a structure optimized by DFT (GGA-PBE); Cu Kα, 1.54184 Å).
Kinematic intensities with the Lorentz-polarization factor, no thermal factor.

Cell and atoms:
```
data_AcPr5Dy3
_chemical_formula_sum 'Ac4 Pr20 Dy12'
_space_group_name_H-M_alt 'I m m a'
_space_group_IT_number 74
_space_group_name_Hall '-I 2b 2'
_cell_length_a 7.4256
_cell_length_b 18.0372
_cell_length_c 9.6184
_cell_angle_alpha 90.00
_cell_angle_beta 90.00
_cell_angle_gamma 90.00
loop_
_atom_site_label
_atom_site_type_symbol
_atom_site_fract_x
_atom_site_fract_y
_atom_site_fract_z
Ac1 Ac 0.0000 0.2500 0.1024
Pr1 Pr 0.0000 0.2500 0.4680
Pr2 Pr 0.2424 0.0825 0.4258
Dy1 Dy 0.0000 0.0739 0.7558
Dy2 Dy 0.2500 0.2500 0.7500
```

Largest 10 diffraction maxima, in order of rising 2θ, 2θ = 10–90°:
| hkl | 2theta | I/Imax |
| --- | --- | --- |
| 0 1 3 | 28.27 | 34 |
| 0 6 0 | 29.75 | 100 |
| 2 2 2 | 32.03 | 35 |
| 2 4 2 | 36.49 | 18 |
| 0 5 3 | 37.53 | 20 |
| 4 0 0 | 49.07 | 10 |
| 2 8 2 | 51.06 | 12 |
| 2 9 1 | 52.77 | 12 |
| 2 3 5 | 55.97 | 13 |
| 4 6 0 | 58.43 | 11 |

---

[7]
Structure and theoretical X-ray powder pattern of Ac3Pr8Dy (a structure optimized by DFT (GGA-PBE); Cu Kα, 1.54184 Å).
Kinematic intensities with the Lorentz-polarization factor, no thermal factor.

Cell and atoms:
```
data_Ac3Pr8Dy
_chemical_formula_sum 'Ac6 Pr16 Dy2'
_space_group_name_H-M_alt 'I 2 2 2'
_space_group_IT_number 23
_space_group_name_Hall 'I 2 2'
_cell_length_a 6.7721
_cell_length_b 9.6000
_cell_length_c 14.4825
_cell_angle_alpha 90.00
_cell_angle_beta 90.00
_cell_angle_gamma 90.00
loop_
_atom_site_label
_atom_site_type_symbol
_atom_site_fract_x
_atom_site_fract_y
_atom_site_fract_z
Ac1 Ac 0.0000 0.0000 0.0000
Ac2 Ac 0.0000 0.5000 0.3693
Pr1 Pr 0.1312 0.3419 0.1010
Pr2 Pr 0.1400 0.1488 0.2934
Dy1 Dy 0.0000 0.0000 0.5000
```

Largest 10 diffraction maxima, in order of rising 2θ, 2θ = 10–90°:
| hkl | 2theta | I/Imax |
| --- | --- | --- |
| 1 0 3 | 22.62 | 19 |
| 1 2 1 | 23.53 | 18 |
| 0 3 1 | 28.60 | 84 |
| 1 2 3 | 29.37 | 39 |
| 1 1 4 | 29.48 | 100 |
| 2 2 0 | 32.35 | 22 |
| 1 3 2 | 33.35 | 33 |
| 0 3 3 | 33.62 | 29 |
| 2 2 2 | 34.71 | 32 |
| 3 3 4 | 55.92 | 37 |

---

[8]
Structure and theoretical X-ray powder pattern of AcPr4Dy6 (a structure optimized by DFT (GGA-PBE); Cu Kα, 1.54184 Å).
Kinematic intensities with the Lorentz-polarization factor, no thermal factor.

Cell and atoms:
```
data_AcPr4Dy6
_chemical_formula_sum 'Ac2 Pr8 Dy12'
_space_group_name_H-M_alt 'I -4 2 m'
_space_group_IT_number 121
_space_group_name_Hall 'I -4 2'
_cell_length_a 6.7882
_cell_length_b 6.7882
_cell_length_c 17.1365
_cell_angle_alpha 90.00
_cell_angle_beta 90.00
_cell_angle_gamma 90.00
loop_
_atom_site_label
_atom_site_type_symbol
_atom_site_fract_x
_atom_site_fract_y
_atom_site_fract_z
Ac1 Ac 0.0000 0.0000 0.0000
Pr1 Pr 0.1928 0.1928 0.1781
Dy1 Dy 0.0000 0.5000 0.0000
Dy2 Dy 0.1778 0.1778 0.3778
```

Largest 10 diffraction maxima, in order of rising 2θ, 2θ = 10–90°:
| hkl | 2theta | I/Imax |
| --- | --- | --- |
| 1 1 4 | 27.91 | 41 |
| 2 0 2 | 28.28 | 76 |
| 1 0 5 | 29.19 | 39 |
| 2 1 1 | 29.89 | 100 |
| 2 0 4 | 33.69 | 82 |
| 1 1 6 | 36.61 | 32 |
| 2 2 0 | 37.47 | 35 |
| 2 1 5 | 39.66 | 26 |
| 3 2 5 | 55.70 | 25 |
| 4 1 1 | 56.12 | 30 |

---

[9]
Structure and theoretical X-ray powder pattern of AcPr10Dy4 (a structure optimized by DFT (GGA-PBE); Cu Kα, 1.54184 Å).
Kinematic intensities with the Lorentz-polarization factor, no thermal factor.

Cell and atoms:
```
data_AcPr10Dy4
_chemical_formula_sum 'Ac2 Pr20 Dy8'
_space_group_name_H-M_alt 'I 4/m'
_space_group_IT_number 87
_space_group_name_Hall '-I 4'
_cell_length_a 12.8625
_cell_length_b 12.8625
_cell_length_c 7.0244
_cell_angle_alpha 90.00
_cell_angle_beta 90.00
_cell_angle_gamma 90.00
loop_
_atom_site_label
_atom_site_type_symbol
_atom_site_fract_x
_atom_site_fract_y
_atom_site_fract_z
Ac1 Ac 0.0000 0.0000 0.0000
Pr1 Pr 0.0000 0.5000 0.2500
Pr2 Pr 0.1284 0.2891 0.2463
Dy1 Dy 0.0677 0.8221 0.5000
```

Largest 10 diffraction maxima, in order of rising 2θ, 2θ = 10–90°:
| hkl | 2theta | I/Imax |
| --- | --- | --- |
| 1 2 1 | 19.95 | 35 |
| 1 1 2 | 27.22 | 71 |
| 2 3 1 | 28.05 | 48 |
| 4 2 0 | 31.10 | 100 |
| 1 4 1 | 31.38 | 29 |
| 1 3 2 | 33.72 | 85 |
| 1 5 0 | 35.59 | 33 |
| 1 5 2 | 44.21 | 40 |
| 2 6 0 | 44.55 | 26 |
| 4 2 4 | 61.91 | 28 |

---

[10]
Structure and theoretical X-ray powder pattern of Ac2PrDy6 (a structure optimized by DFT (GGA-PBE); Cu Kα, 1.54184 Å).
Kinematic intensities with the Lorentz-polarization factor, no thermal factor.

Cell and atoms:
```
data_Ac2PrDy6
_chemical_formula_sum 'Ac4 Pr2 Dy12'
_space_group_name_H-M_alt 'C 2 2 2'
_space_group_IT_number 21
_space_group_name_Hall 'C 2 2'
_cell_length_a 6.2834
_cell_length_b 10.9766
_cell_length_c 9.0494
_cell_angle_alpha 90.00
_cell_angle_beta 90.00
_cell_angle_gamma 90.00
loop_
_atom_site_label
_atom_site_type_symbol
_atom_site_fract_x
_atom_site_fract_y
_atom_site_fract_z
Ac1 Ac 0.2500 0.2500 0.1579
Pr1 Pr 0.0000 0.0000 0.5000
Dy1 Dy 0.0000 0.3375 0.5000
Dy2 Dy 0.2487 0.4226 0.8258
```

Largest 10 diffraction maxima, in order of rising 2θ, 2θ = 10–90°:
| hkl | 2theta | I/Imax |
| --- | --- | --- |
| 0 0 3 | 29.61 | 55 |
| 1 3 1 | 29.94 | 100 |
| 2 0 1 | 30.11 | 45 |
| 1 3 2 | 34.61 | 67 |
| 2 0 2 | 34.76 | 32 |
| 1 3 4 | 49.54 | 25 |
| 3 3 1 | 51.26 | 23 |
| 3 3 2 | 54.39 | 19 |
| 4 0 0 | 58.78 | 22 |
| 2 6 3 | 66.81 | 22 |

---

[11]
Structure and theoretical X-ray powder pattern of Ac3PrDy2 (a structure optimized by DFT (GGA-PBE); Cu Kα, 1.54184 Å).
Kinematic intensities with the Lorentz-polarization factor, no thermal factor.

Cell and atoms:
```
data_Ac3PrDy2
_chemical_formula_sum 'Ac24 Pr8 Dy16'
_space_group_name_H-M_alt 'F d d d'
_space_group_IT_number 70
_cell_length_a 7.5740
_cell_length_b 10.8203
_cell_length_c 22.7487
_cell_angle_alpha 90.00
_cell_angle_beta 90.00
_cell_angle_gamma 90.00
loop_
_space_group_symop_operation_xyz
'x,y,z'
'-x,-y,-z'
'-x+1/4,-y+1/4,z'
'x+1/4,y+1/4,-z'
'x,-y+1/4,-z+1/4'
'-x,y+1/4,z+1/4'
'-x+1/4,y,-z+1/4'
'x+1/4,-y,z+1/4'
'x,y+1/2,z+1/2'
'-x,-y+1/2,-z+1/2'
'-x+1/4,-y+3/4,z+1/2'
'x+1/4,y+3/4,-z+1/2'
'x,-y+3/4,-z+3/4'
'-x,y+3/4,z+3/4'
'-x+1/4,y+1/2,-z+3/4'
'x+1/4,-y+1/2,z+3/4'
'x+1/2,y,z+1/2'
'-x+1/2,-y,-z+1/2'
'-x+3/4,-y+1/4,z+1/2'
'x+3/4,y+1/4,-z+1/2'
'x+1/2,-y+1/4,-z+3/4'
'-x+1/2,y+1/4,z+3/4'
'-x+3/4,y,-z+3/4'
'x+3/4,-y,z+3/4'
'x+1/2,y+1/2,z'
'-x+1/2,-y+1/2,-z'
'-x+3/4,-y+3/4,z'
'x+3/4,y+3/4,-z'
'x+1/2,-y+3/4,-z+1/4'
'-x+1/2,y+3/4,z+1/4'
'-x+3/4,y+1/2,-z+1/4'
'x+3/4,-y+1/2,z+1/4'
loop_
_atom_site_label
_atom_site_type_symbol
_atom_site_fract_x
_atom_site_fract_y
_atom_site_fract_z
Ac1 Ac 0.1250 0.1250 0.1250
Ac2 Ac 0.1250 0.1250 0.4581
Pr1 Pr 0.1250 0.1250 0.6250
Dy1 Dy 0.1250 0.1250 0.2906
```

Largest 10 diffraction maxima, in order of rising 2θ, 2θ = 10–90°:
| hkl | 2theta | I/Imax |
| --- | --- | --- |
| 2 2 0 | 28.76 | 100 |
| 0 4 0 | 33.12 | 17 |
| 2 0 6 | 33.44 | 34 |
| 2 4 6 | 47.78 | 25 |
| 4 0 0 | 48.02 | 12 |
| 2 6 0 | 56.51 | 15 |
| 4 2 6 | 56.94 | 30 |
| 4 4 0 | 59.57 | 13 |
| 4 6 6 | 77.26 | 13 |
| 6 4 6 | 89.44 | 9 |

---

[12]
Structure and theoretical X-ray powder pattern of Ac8PrDy5 (a structure optimized by DFT (GGA-PBE); Cu Kα, 1.54184 Å).
Kinematic intensities with the Lorentz-polarization factor, no thermal factor.

Cell and atoms:
```
data_Ac8PrDy5
_chemical_formula_sum 'Ac8 Pr1 Dy5'
_space_group_name_H-M_alt 'P 1'
_space_group_IT_number 1
_space_group_name_Hall 'P 1'
_cell_length_a 8.9932
_cell_length_b 8.9970
_cell_length_c 9.2289
_cell_angle_alpha 62.68
_cell_angle_beta 61.45
_cell_angle_gamma 86.72
loop_
_atom_site_label
_atom_site_type_symbol
_atom_site_fract_x
_atom_site_fract_y
_atom_site_fract_z
Ac1 Ac 0.0000 0.0000 0.0000
Ac2 Ac 0.0728 0.6986 0.3802
Ac3 Ac 0.2816 0.9425 0.5332
Ac4 Ac 0.4693 0.1854 0.7390
Ac5 Ac 0.5804 0.8528 0.0623
Ac6 Ac 0.6703 0.3524 0.9522
Ac7 Ac 0.7531 0.9963 0.4691
Ac8 Ac 0.8731 0.4980 0.1815
Pr1 Pr 0.1624 0.4626 0.7632
Dy1 Dy 0.1978 0.2193 0.1630
Dy2 Dy 0.3435 0.6610 0.9371
Dy3 Dy 0.3776 0.4067 0.3611
Dy4 Dy 0.5942 0.6341 0.5055
Dy5 Dy 0.9442 0.2334 0.5893
```

Largest 10 diffraction maxima, in order of rising 2θ, 2θ = 10–90°:
| hkl | 2theta | I/Imax |
| --- | --- | --- |
| 1 -2 1 | 28.99 | 88 |
| 2 2 1 | 29.21 | 100 |
| -2 1 1 | 29.52 | 89 |
| 1 1 3 | 29.79 | 58 |
| 3 0 2 | 30.84 | 66 |
| 0 3 2 | 31.04 | 71 |
| 1 1 -2 | 39.63 | 27 |
| 3 -3 0 | 43.99 | 23 |
| 4 1 0 | 51.00 | 21 |
| 5 2 3 | 53.94 | 27 |

---

What is the formula in the ninth record?
AcPr10Dy4